Starting from a structure optimized by DFT (GGA-PBE), the XRD peak list of AlCu5Au6 was calculated for Cu Kα (λ = 1.5418 Å).

Peak list (10 most intense, 15° ≤ 2θ ≤ 90°, low angle first)
Position (°2θ)	I_rel
27.38	37.5
27.81	32.1
30.59	29.6
39.08	34.6
39.77	54.2
41.52	100.0
41.81	83.3
63.68	15.5
73.18	16.2
77.76	15.2

Atomic structure:
Unit cell a=4.611 b=5.845 c=7.147 alpha=90.00 beta=107.95 gamma=90.00
Fractional coordinates of all 12 atoms:
Al (0.000, 0.000, 0.000)
Cu (0.000, 0.500, 0.000)
Cu (0.258, 0.000, 0.658)
Cu (0.258, 0.500, 0.661)
Cu (0.742, 0.000, 0.342)
Cu (0.742, 0.500, 0.339)
Au (0.228, 0.250, 0.328)
Au (0.228, 0.750, 0.328)
Au (0.500, 0.250, 0.000)
Au (0.500, 0.750, 0.000)
Au (0.772, 0.250, 0.672)
Au (0.772, 0.750, 0.672)

Starting from a structure optimized by DFT (GGA-PBE), the XRD peak list of RbHg2B2O6 was calculated for Cu Kα (λ = 1.5418 Å).

Peak list (10 most intense, 15° ≤ 2θ ≤ 90°, low angle first)
Position (°2θ)	I_rel
15.53	100.0
17.53	58.8
22.46	25.5
26.14	48.7
26.33	41.2
27.07	46.3
28.48	39.1
29.75	42.7
40.54	26.8
42.74	25.5

Atomic structure:
Unit cell a=5.666 b=6.073 c=6.700 alpha=108.22 beta=113.20 gamma=94.66
Fractional coordinates of all 11 atoms:
Rb (0.000, 0.000, 0.000)
Hg (0.293, 0.703, 0.442)
Hg (0.707, 0.297, 0.558)
B (0.284, 0.242, 0.665)
B (0.716, 0.758, 0.335)
O (0.090, 0.256, 0.737)
O (0.307, 0.341, 0.507)
O (0.475, 0.122, 0.745)
O (0.525, 0.878, 0.255)
O (0.693, 0.659, 0.493)
O (0.910, 0.744, 0.263)

Starting from a structure optimized by DFT (GGA-PBE), the XRD peak list of Ce7In3 was calculated for Cu Kα (λ = 1.5418 Å).

Peak list (10 most intense, 15° ≤ 2θ ≤ 90°, low angle first)
Position (°2θ)	I_rel
32.70	99.3
32.89	100.0
36.50	32.7
37.26	33.4
40.30	31.0
55.49	19.3
56.04	20.5
64.55	10.7
68.50	19.6
68.59	11.7

Atomic structure:
Unit cell a=9.073 b=9.073 c=6.864 alpha=99.79 beta=99.79 gamma=28.56
Fractional coordinates of all 10 atoms:
Ce (0.000, 0.000, 0.000)
Ce (0.190, 0.190, 0.579)
Ce (0.385, 0.385, 0.659)
Ce (0.412, 0.412, 0.174)
Ce (0.588, 0.588, 0.826)
Ce (0.615, 0.615, 0.341)
Ce (0.810, 0.810, 0.421)
In (0.000, 0.000, 0.500)
In (0.207, 0.207, 0.094)
In (0.793, 0.793, 0.906)

Starting from a structure optimized by DFT (GGA-PBE), the XRD peak list of LaNd4Sc2 was calculated for Cu Kα (λ = 1.5418 Å).

Peak list (10 most intense, 15° ≤ 2θ ≤ 90°, low angle first)
Position (°2θ)	I_rel
26.51	16.9
27.78	100.0
31.09	16.5
31.78	26.3
32.41	47.7
32.68	28.3
34.52	15.4
38.26	15.8
55.03	13.5
56.40	12.3

Atomic structure:
Unit cell a=8.092 b=8.092 c=16.595 alpha=90.65 beta=90.65 gamma=154.57
Fractional coordinates of all 14 atoms:
La (0.194, 0.806, 0.750)
La (0.806, 0.194, 0.250)
Nd (0.075, 0.178, 0.420)
Nd (0.178, 0.075, 0.920)
Nd (0.265, 0.616, 0.926)
Nd (0.384, 0.735, 0.574)
Nd (0.616, 0.265, 0.426)
Nd (0.735, 0.384, 0.074)
Nd (0.822, 0.925, 0.080)
Nd (0.925, 0.822, 0.580)
Sc (0.131, 0.869, 0.250)
Sc (0.482, 0.518, 0.250)
Sc (0.518, 0.482, 0.750)
Sc (0.869, 0.131, 0.750)

Starting from a structure optimized by DFT (GGA-PBE), the XRD peak list of NaCuRhF6 was calculated for Cu Kα (λ = 1.5418 Å).

Peak list (10 most intense, 15° ≤ 2θ ≤ 90°, low angle first)
Position (°2θ)	I_rel
18.13	20.4
20.38	45.0
25.89	100.0
31.80	13.9
33.07	59.8
38.02	16.3
50.41	68.4
53.24	20.0
63.09	14.3
64.12	24.2

Atomic structure:
Unit cell a=4.866 b=4.866 c=9.784 alpha=90.00 beta=90.00 gamma=90.00
Fractional coordinates of all 18 atoms:
Na (0.000, 0.000, 0.000)
Na (0.500, 0.500, 0.500)
Cu (0.000, 0.000, 0.328)
Cu (0.500, 0.500, 0.828)
Rh (0.000, 0.000, 0.669)
Rh (0.500, 0.500, 0.169)
F (0.180, 0.180, 0.509)
F (0.202, 0.202, 0.819)
F (0.209, 0.209, 0.174)
F (0.291, 0.709, 0.674)
F (0.298, 0.702, 0.319)
F (0.320, 0.680, 0.009)
F (0.680, 0.320, 0.009)
F (0.702, 0.298, 0.319)
F (0.709, 0.291, 0.674)
F (0.791, 0.791, 0.174)
F (0.798, 0.798, 0.819)
F (0.820, 0.820, 0.509)

Starting from a structure optimized by DFT (GGA-PBE), the XRD peak list of DyHfTe was calculated for Cu Kα (λ = 1.5418 Å).

Peak list (10 most intense, 15° ≤ 2θ ≤ 90°, low angle first)
Position (°2θ)	I_rel
33.50	100.0
35.76	46.2
44.54	8.4
51.47	16.4
58.38	15.2
62.82	32.8
70.39	8.7
75.78	5.2
85.43	7.1
86.72	7.6

Atomic structure:
Unit cell a=3.551 b=3.551 c=12.206 alpha=90.00 beta=90.00 gamma=90.00
Fractional coordinates of all 6 atoms:
Dy (0.000, 0.000, 0.183)
Dy (0.000, 0.000, 0.817)
Hf (0.000, 0.000, 0.500)
Hf (0.500, 0.500, 0.000)
Te (0.500, 0.500, 0.359)
Te (0.500, 0.500, 0.641)

Starting from a structure optimized by DFT (GGA-PBE), the XRD peak list of Ac3GaCu was calculated for Cu Kα (λ = 1.5418 Å).

Peak list (10 most intense, 15° ≤ 2θ ≤ 90°, low angle first)
Position (°2θ)	I_rel
22.36	39.7
28.15	94.7
28.39	64.1
28.55	72.4
29.26	58.2
29.54	100.0
30.71	36.9
33.64	42.3
37.11	32.8
43.97	41.9

Atomic structure:
Unit cell a=4.119 b=8.976 c=9.160 alpha=88.75 beta=89.89 gamma=76.75
Fractional coordinates of all 10 atoms:
Ac (0.000, 0.000, 0.000)
Ac (0.091, 0.819, 0.371)
Ac (0.294, 0.414, 0.002)
Ac (0.442, 0.119, 0.630)
Ac (0.651, 0.699, 0.741)
Ac (0.798, 0.406, 0.370)
Ga (0.436, 0.126, 0.263)
Ga (0.655, 0.693, 0.109)
Cu (0.264, 0.474, 0.628)
Cu (0.830, 0.342, 0.745)

Starting from a structure optimized by DFT (GGA-PBE), the XRD peak list of ScSi2Se4 was calculated for Cu Kα (λ = 1.5418 Å).

Peak list (10 most intense, 15° ≤ 2θ ≤ 90°, low angle first)
Position (°2θ)	I_rel
16.93	10.9
26.93	31.0
30.18	100.0
34.25	18.7
36.41	27.4
47.57	29.2
49.64	24.2
52.82	32.7
67.21	15.7
81.12	13.6

Atomic structure:
Unit cell a=6.195 b=6.195 c=6.195 alpha=106.60 beta=106.60 gamma=115.38
Fractional coordinates of all 7 atoms:
Sc (0.000, 0.000, 0.000)
Si (0.250, 0.750, 0.500)
Si (0.750, 0.250, 0.500)
Se (0.176, 0.684, 0.860)
Se (0.316, 0.176, 0.493)
Se (0.684, 0.824, 0.507)
Se (0.824, 0.316, 0.140)

Starting from a structure optimized by DFT (GGA-PBE), the XRD peak list of Li2MnTcN4 was calculated for Cu Kα (λ = 1.5418 Å).

Peak list (10 most intense, 15° ≤ 2θ ≤ 90°, low angle first)
Position (°2θ)	I_rel
15.63	43.1
22.90	100.0
28.71	30.5
32.85	26.0
33.64	27.5
35.88	20.7
37.04	40.8
46.59	25.5
57.03	14.9
62.39	15.1

Atomic structure:
Unit cell a=6.219 b=5.670 c=5.329 alpha=90.00 beta=90.00 gamma=90.00
Fractional coordinates of all 16 atoms:
Li (0.250, 0.179, 0.000)
Li (0.250, 0.821, 0.500)
Li (0.750, 0.179, 0.000)
Li (0.750, 0.821, 0.500)
Mn (0.000, 0.328, 0.506)
Mn (0.500, 0.672, 0.006)
Tc (0.000, 0.667, 0.006)
Tc (0.500, 0.333, 0.506)
N (0.000, 0.384, 0.833)
N (0.000, 0.599, 0.349)
N (0.242, 0.178, 0.415)
N (0.258, 0.822, 0.915)
N (0.500, 0.401, 0.849)
N (0.500, 0.616, 0.333)
N (0.742, 0.822, 0.915)
N (0.758, 0.178, 0.415)

Starting from a structure optimized by DFT (GGA-PBE), the XRD peak list of PtBr6N4 was calculated for Cu Kα (λ = 1.5418 Å).

Peak list (10 most intense, 15° ≤ 2θ ≤ 90°, low angle first)
Position (°2θ)	I_rel
15.27	100.0
22.66	85.6
25.93	41.1
27.60	43.5
27.90	42.5
30.82	66.1
33.65	68.9
37.59	83.1
46.27	42.4
51.33	66.3

Atomic structure:
Unit cell a=7.877 b=7.827 c=7.482 alpha=61.88 beta=61.21 gamma=56.90
Fractional coordinates of all 11 atoms:
Pt (0.000, 0.000, 0.000)
Br (0.118, 0.382, 0.382)
Br (0.240, 0.760, 0.240)
Br (0.244, 0.756, 0.756)
Br (0.382, 0.118, 0.118)
Br (0.756, 0.244, 0.244)
Br (0.760, 0.240, 0.760)
N (0.137, 0.137, 0.363)
N (0.159, 0.159, 0.841)
N (0.363, 0.363, 0.137)
N (0.841, 0.841, 0.159)

Starting from a structure optimized by DFT (GGA-PBE), the XRD peak list of Th2PaPd9 was calculated for Cu Kα (λ = 1.5418 Å).

Peak list (10 most intense, 15° ≤ 2θ ≤ 90°, low angle first)
Position (°2θ)	I_rel
21.11	12.9
30.03	11.3
37.01	100.0
42.99	49.3
48.37	6.6
53.33	5.0
62.43	32.5
66.69	3.3
74.84	38.1
78.79	11.1

Atomic structure:
Unit cell a=4.209 b=4.209 c=12.617 alpha=90.00 beta=90.00 gamma=90.00
Fractional coordinates of all 12 atoms:
Th (0.000, 0.000, 0.168)
Th (0.000, 0.000, 0.832)
Pa (0.000, 0.000, 0.500)
Pd (0.000, 0.500, 0.000)
Pd (0.000, 0.500, 0.335)
Pd (0.000, 0.500, 0.665)
Pd (0.500, 0.000, 0.000)
Pd (0.500, 0.000, 0.335)
Pd (0.500, 0.000, 0.665)
Pd (0.500, 0.500, 0.167)
Pd (0.500, 0.500, 0.500)
Pd (0.500, 0.500, 0.833)

Starting from a structure optimized by DFT (GGA-PBE), the XRD peak list of SrAl2Te4 was calculated for Cu Kα (λ = 1.5418 Å).

Peak list (10 most intense, 15° ≤ 2θ ≤ 90°, low angle first)
Position (°2θ)	I_rel
26.49	11.9
27.16	100.0
30.04	12.5
33.69	14.3
34.13	35.0
45.76	8.9
46.51	28.6
47.18	21.9
53.65	14.7
61.43	12.3

Atomic structure:
Unit cell a=6.834 b=6.834 c=6.834 alpha=104.02 beta=104.02 gamma=121.02
Fractional coordinates of all 7 atoms:
Sr (0.000, 0.000, 0.000)
Al (0.000, 0.500, 0.500)
Al (0.500, 0.000, 0.500)
Te (0.077, 0.577, 0.155)
Te (0.423, 0.923, 0.845)
Te (0.577, 0.423, 0.500)
Te (0.923, 0.077, 0.500)